For SrCaTbVO6, DFT lattice parameters and positions (GGA+U) gives the computed powder XRD pattern in this record (Cu Kα).
Intensities are scaled so that the largest is 100.

Largest 10 diffraction maxima, by angle, 2θ = 10–90°:
index  2θ/deg  d/Å  I (rel.)
1 1 1  18.76  4.730  25
2 0 0  21.69  4.097  17
2 2 0  30.87  2.897  100
3 1 1  36.37  2.470  20
4 0 0  44.22  2.048  36
3 3 1  48.43  1.880  11
4 2 2  54.90  1.672  38
4 4 0  64.32  1.448  21
6 2 0  73.04  1.295  17
6 4 2  89.52  1.095  21

Structural model:
```
data_SrCaTbVO6
_chemical_formula_sum 'Sr4 Ca4 Tb4 V4 O24'
_cell_length_a 8.193
_cell_length_b 8.193
_cell_length_c 8.193
_cell_angle_alpha 90.00
_cell_angle_beta 90.00
_cell_angle_gamma 90.00
_symmetry_space_group_name_H-M 'F -4 3 m'
_symmetry_Int_Tables_number 216
_symmetry_space_group_name_Hall 'F -4 2 3'
loop_
_atom_site_label
_atom_site_type_symbol
_atom_site_fract_x
_atom_site_fract_y
_atom_site_fract_z
_atom_site_occupancy
Sr1 Sr 0.000 0.000 0.000 1
Ca1 Ca 0.000 0.000 0.500 1
Tb1 Tb 0.250 0.250 0.250 1
V1 V 0.250 0.250 0.750 1
O1 O 0.019 0.250 0.750 1
```